Entry 1:
Structure and calculated powder XRD pattern of Na3Y3VO8 (a GGA+U-relaxed structure; copper Kα).
Neutral-atom scattering factors, no anomalous dispersion.

Structure:
```
Na3Y3VO8
1.0
5.771 -3.345 0.000
5.771 3.345 0.000
-3.882 0.000 5.552
Na Y V O
3 3 1 8
Cartesian
0.000 0.000 0.000
2.885 1.673 0.000
2.885 -1.673 0.000
0.944 1.673 2.776
0.944 -1.673 2.776
3.830 0.000 2.776
-1.941 0.000 2.776
-0.261 0.000 3.836
2.961 1.845 3.858
4.698 1.845 1.695
1.904 0.000 1.597
5.756 0.000 3.955
2.961 -1.845 3.858
4.698 -1.845 1.695
7.921 0.000 1.716
```

Most intense lines, 15 to 90 degrees two-theta, low angle first:
- d = 5.552 Å, 15.96 deg, intensity 100
- d = 2.853 Å, 31.35 deg, intensity 24
- d = 2.776 Å, 32.25 deg, intensity 16
- d = 2.731 Å, 32.79 deg, intensity 41
- d = 2.380 Å, 37.80 deg, intensity 66
- d = 2.365 Å, 38.05 deg, intensity 32
- d = 1.841 Å, 49.52 deg, intensity 12
- d = 1.688 Å, 54.36 deg, intensity 18
- d = 1.668 Å, 55.07 deg, intensity 20
- d = 1.366 Å, 68.74 deg, intensity 13


Entry 2:
Structure and calculated powder XRD pattern of NaV2Zn2O7 (a GGA+U-relaxed structure; copper Kα).
Neutral-atom scattering factors, no anomalous dispersion.

Structure:
```
NaV2Zn2O7
1.0
2.770 1.599 7.912
-2.770 1.599 7.912
0.000 -3.199 7.912
Na V Zn O
1 2 2 7
Cartesian
0.000 0.000 0.000
0.000 0.000 10.068
0.000 0.000 13.669
0.000 0.000 6.344
0.000 0.000 17.392
-0.887 -1.402 9.454
-0.770 -1.469 14.282
-0.770 1.469 9.454
0.000 0.000 11.868
-0.887 1.402 14.282
1.658 -0.068 9.454
1.658 0.068 14.282
```

Most intense lines, 15 to 90 degrees two-theta, low angle first:
- d = 4.703 Å, 18.87 deg, intensity 47
- d = 3.956 Å, 22.47 deg, intensity 50
- d = 3.731 Å, 23.85 deg, intensity 34
- d = 2.770 Å, 32.32 deg, intensity 100
- d = 2.269 Å, 39.72 deg, intensity 23
- d = 2.224 Å, 40.56 deg, intensity 11
- d = 1.958 Å, 46.36 deg, intensity 12
- d = 1.706 Å, 53.71 deg, intensity 11
- d = 1.599 Å, 57.64 deg, intensity 36
- d = 1.483 Å, 62.65 deg, intensity 12


Entry 3:
Structure and calculated powder XRD pattern of NaW8O24 (a GGA+U-relaxed structure; copper Kα).
Neutral-atom scattering factors, no anomalous dispersion.

Structure:
```
NaW8O24
1.0
-3.868 3.868 7.745
3.868 -3.868 7.745
3.868 3.868 -7.745
Na W O
1 8 24
Cartesian
0.000 0.000 0.000
1.944 1.944 -1.942
1.924 -1.924 5.803
1.944 1.944 1.942
5.792 1.944 1.942
1.944 5.792 -1.942
1.924 1.924 5.803
-1.924 1.924 9.687
1.924 1.924 9.687
5.799 -1.931 3.872
1.937 -1.931 3.872
3.868 -2.038 5.829
1.829 0.000 1.915
5.906 0.000 1.915
3.868 2.020 -1.931
1.906 1.906 0.000
1.962 -1.962 7.745
3.868 1.852 1.932
1.852 3.868 -1.932
2.016 0.000 5.813
0.000 2.002 1.924
5.799 1.931 3.872
1.937 1.931 3.872
0.000 1.848 5.814
2.020 3.868 1.931
1.848 0.000 9.675
3.868 2.038 5.829
-1.962 1.962 7.745
1.962 1.962 7.745
0.000 5.733 1.924
-1.865 3.868 5.820
1.865 3.868 5.820
0.000 2.016 9.676
```

Most intense lines, 15 to 90 degrees two-theta, low angle first:
- d = 3.869 Å, 22.99 deg, intensity 100
- d = 2.736 Å, 32.73 deg, intensity 60
- d = 2.234 Å, 40.38 deg, intensity 14
- d = 1.935 Å, 46.97 deg, intensity 21
- d = 1.730 Å, 52.91 deg, intensity 41
- d = 1.580 Å, 58.42 deg, intensity 24
- d = 1.368 Å, 68.60 deg, intensity 12
- d = 1.290 Å, 73.41 deg, intensity 17
- d = 1.224 Å, 78.11 deg, intensity 11
- d = 1.167 Å, 82.72 deg, intensity 7